K2CrH5: theoretical X-ray powder pattern (Cu Kα (λ = 1.5418 Å)), based on a cell relaxed with GGA-PBE.
Intensities are scaled so that the largest is 100.

```
data_K2CrH5
_chemical_formula_sum 'K2 Cr1 H5'
_cell_length_a 5.9433
_cell_length_b 5.9433
_cell_length_c 3.5749
_cell_angle_alpha 90.00
_cell_angle_beta 90.00
_cell_angle_gamma 90.00
_space_group_name_H-M_alt 'P 4/m m m'
_space_group_IT_number 123
_space_group_name_Hall '-P 4 2'
loop_
_atom_site_label
_atom_site_type_symbol
_atom_site_fract_x
_atom_site_fract_y
_atom_site_fract_z
_atom_site_occupancy
K1 K 0.0000 0.5000 0.0000 1
Cr1 Cr 0.0000 0.0000 0.5000 1
H1 H 0.0000 0.0000 0.0000 1
H2 H 0.2065 0.2065 0.5000 1
```

The 10 most intense peaks (2θ = 10–80°), sorted by position:
- 2θ = 14.91°, intensity 69
- 2θ = 29.15°, intensity 23
- 2θ = 30.07°, intensity 62
- 2θ = 32.89°, intensity 100
- 2θ = 33.72°, intensity 15
- 2θ = 42.38°, intensity 14
- 2θ = 43.05°, intensity 24
- 2θ = 55.22°, intensity 38
- 2θ = 60.44°, intensity 14
- 2θ = 68.98°, intensity 10